This entry pairs a crystal structure of Ba8In2Pd with its theoretical powder X-ray diffraction pattern. Radiation: Cu Kα, 1.54184 Å. Structure: a DFT-relaxed cell (PBE, Alexandria).
Intensities are scaled so that the largest is 100.

Main lines, most intense first (10° ≤ 2θ ≤ 90°):
d = 3.358 Å, 2θ = 26.55°, rel. 100; d = 3.007 Å, 2θ = 29.71°, rel. 91; d = 3.105 Å, 2θ = 28.75°, rel. 79; d = 2.922 Å, 2θ = 30.60°, rel. 63; d = 3.593 Å, 2θ = 24.78°, rel. 56; d = 3.402 Å, 2θ = 26.20°, rel. 37; d = 3.277 Å, 2θ = 27.21°, rel. 34; d = 2.697 Å, 2θ = 33.22°, rel. 25; d = 3.651 Å, 2θ = 24.38°, rel. 24; d = 1.785 Å, 2θ = 51.17°, rel. 24

Cell and atoms:
a = 11.011 Å, b = 11.011 Å, c = 8.147 Å
α = 106.58°, β = 106.58°, γ = 31.69°
Sites, in units of the cell vectors:
Ba (0.028, 0.028, 0.298)
Ba (0.210, 0.210, 0.796)
Ba (0.345, 0.345, 0.545)
Ba (0.405, 0.405, 0.082)
Ba (0.595, 0.595, 0.918)
Ba (0.655, 0.655, 0.455)
Ba (0.790, 0.790, 0.204)
Ba (0.972, 0.972, 0.702)
In (0.183, 0.183, 0.209)
In (0.817, 0.817, 0.791)
Pd (0.500, 0.500, 0.500)

This entry pairs a crystal structure of ThPaTa with its theoretical powder X-ray diffraction pattern. Radiation: Cu Kα, 1.54184 Å. Structure: a DFT-relaxed cell (PBE, Alexandria).
Intensities are scaled so that the largest is 100.

Main lines, most intense first (10° ≤ 2θ ≤ 90°):
d = 2.549 Å, 2θ = 35.20°, rel. 100; d = 2.398 Å, 2θ = 37.50°, rel. 47; d = 1.412 Å, 2θ = 66.18°, rel. 33; d = 3.175 Å, 2θ = 28.11°, rel. 21; d = 1.696 Å, 2θ = 54.07°, rel. 17; d = 1.505 Å, 2θ = 61.64°, rel. 15; d = 1.795 Å, 2θ = 50.88°, rel. 11; d = 1.274 Å, 2θ = 74.44°, rel. 11; d = 2.706 Å, 2θ = 33.11°, rel. 9; d = 1.441 Å, 2θ = 64.70°, rel. 9

Cell and atoms:
a = 13.739 Å, b = 13.739 Å, c = 13.739 Å
α = 165.82°, β = 165.82°, γ = 20.11°
Sites, in units of the cell vectors:
Th (0.063, 0.063, 0.000)
Th (0.937, 0.937, 0.000)
Pa (0.349, 0.349, 0.000)
Pa (0.651, 0.651, 0.000)
Ta (0.221, 0.221, 0.000)
Ta (0.779, 0.779, 0.000)